Entry 1:
This entry pairs a crystal structure of Nd3Er6Tm2 with its simulated X-ray diffraction stick pattern. Radiation: Cu Kα X-rays. Structure: a PBE-relaxed structure.

```
Nd3Er6Tm2
1.0
2.8197 1.6279 12.7305
-2.8197 1.6279 12.7305
0.0000 -3.2559 12.7305
Nd Er Tm
3 6 2
Direct
0.0000 0.0000 0.0000
0.0818 0.0818 0.0818
0.9182 0.9182 0.9182
0.1709 0.1709 0.1709
0.2648 0.2648 0.2648
0.4553 0.4553 0.4553
0.5447 0.5447 0.5447
0.7352 0.7352 0.7352
0.8291 0.8291 0.8291
0.3631 0.3631 0.3631
0.6369 0.6369 0.6369
```

Most intense lines, 10 to 90 degrees two-theta, by intensity:
- 2θ 31.73, d = 2.820 Å, I 100
- 2θ 31.62, d = 2.830 Å, I 80
- 2θ 56.49, d = 1.629 Å, I 51
- 2θ 45.41, d = 1.997 Å, I 30
- 2θ 75.31, d = 1.262 Å, I 13
- 2θ 66.30, d = 1.410 Å, I 12
- 2θ 29.70, d = 3.008 Å, I 12
- 2θ 60.59, d = 1.528 Å, I 11
- 2θ 56.24, d = 1.636 Å, I 7
- 2θ 75.12, d = 1.265 Å, I 6

=====

Entry 2:
This entry pairs a crystal structure of K2LiBrCl2 with its simulated X-ray diffraction stick pattern. Radiation: Cu Kα X-rays. Structure: a PBE-relaxed structure.

```
K2LiBrCl2
1.0
4.8383 0.0000 0.0000
0.0000 4.8383 0.0000
0.0000 0.0000 7.7542
K Li Br Cl
2 1 1 2
Direct
0.0000 0.0000 0.2384
0.0000 0.0000 0.7616
0.5000 0.5000 0.5000
0.5000 0.5000 0.0000
0.0000 0.5000 0.5000
0.5000 0.0000 0.5000
```

Most intense lines, 10 to 90 degrees two-theta, by intensity:
- 2θ 29.52, d = 3.026 Å, I 100
- 2θ 28.52, d = 3.130 Å, I 94
- 2θ 37.17, d = 2.419 Å, I 53
- 2θ 48.16, d = 1.889 Å, I 47
- 2θ 21.65, d = 4.105 Å, I 38
- 2θ 26.05, d = 3.421 Å, I 23
- 2θ 61.28, d = 1.513 Å, I 21
- 2θ 43.90, d = 2.062 Å, I 19
- 2θ 61.81, d = 1.501 Å, I 18
- 2θ 53.57, d = 1.711 Å, I 17